Starting from a GGA+U-relaxed structure, the X-ray powder pattern of Li9Mn2Co5O16 was simulated for a wavelength of 1.5418 Å.
Neutral-atom scattering factors, no anomalous dispersion.

Largest 12 diffraction maxima, in order of falling intensity, 10° ≤ 2θ ≤ 90°:
2θ = 18.4°, intensity 1000, hkl 0 0 1; 2θ = 44.3°, intensity 506, hkl 1 4 1; 2θ = 42.4°, intensity 292, hkl 2 0 -2; 2θ = 36.5°, intensity 245, hkl 1 4 0; 2θ = 35.2°, intensity 156, hkl 2 0 -1; 2θ = 63.1°, intensity 145, hkl 3 4 -1; 2θ = 62.8°, intensity 144, hkl 1 4 -3; 2θ = 58.3°, intensity 93, hkl 1 4 2; 2θ = 47.6°, intensity 91, hkl 1 4 -2; 2θ = 37.8°, intensity 72, hkl 1 4 -1; 2θ = 63.9°, intensity 68, hkl 2 0 2; 2θ = 65.0°, intensity 65, hkl 0 8 0

Cell and atoms:
Unit cell a=5.155 b=11.476 c=5.179 alpha=90.00 beta=111.33 gamma=90.00
Fractional coordinates of all 32 atoms:
Li1 0.000 0.000 0.000
Li2 0.000 0.120 0.500
Li3 0.000 0.372 0.500
Li4 0.000 0.624 0.500
Li5 0.000 0.879 0.500
Li6 0.500 0.000 0.500
Li7 0.500 0.247 0.500
Li8 0.500 0.496 0.500
Li9 0.500 0.751 0.500
Mn1 0.000 0.495 0.000
Mn2 0.000 0.754 0.000
Co1 0.000 0.246 0.000
Co2 0.500 0.127 0.000
Co3 0.500 0.372 0.000
Co4 0.500 0.620 0.000
Co5 0.500 0.883 0.000
O1 0.227 0.371 0.226
O2 0.236 0.623 0.223
O3 0.240 0.748 0.780
O4 0.245 0.864 0.230
O5 0.255 0.130 0.207
O6 0.276 0.495 0.760
O7 0.281 0.249 0.773
O8 0.283 0.007 0.764
O9 0.717 0.007 0.236
O10 0.719 0.249 0.227
O11 0.724 0.495 0.240
O12 0.745 0.130 0.793
O13 0.755 0.864 0.770
O14 0.760 0.748 0.220
O15 0.764 0.623 0.777
O16 0.773 0.371 0.774